Na2CoTcO4: theoretical powder XRD pattern (Cu Kα X-rays), based on a cell relaxed with PBE+U.
Peak positions follow from Bragg's law for the DFT cell and can differ from measured ones.

Atomic structure:
Cell: 5.5464 5.5464 7.0722 Å, 90.00 90.00 90.00°
Sites, in units of the cell vectors:
Na: 0.0000 0.0000 0.0000
Na: 0.0000 0.5000 0.2500
Na: 0.5000 0.0000 0.7500
Na: 0.5000 0.5000 0.5000
Co: 0.0000 0.5000 0.7500
Co: 0.5000 0.0000 0.2500
Tc: 0.0000 0.0000 0.5000
Tc: 0.5000 0.5000 0.0000
O: 0.1833 0.7431 0.6034
O: 0.2431 0.3167 0.8966
O: 0.2569 0.1833 0.3966
O: 0.3167 0.7569 0.1034
O: 0.6833 0.2431 0.1034
O: 0.7431 0.8167 0.3966
O: 0.7569 0.6833 0.8966
O: 0.8167 0.2569 0.6034

Peak list (10 most intense, 2θ from 5° to 70°, sorted by position)
20.35 deg, rel. 77, (1 0 1); 32.28 deg, rel. 29, (2 0 0); 34.14 deg, rel. 100, (1 1 2); 38.46 deg, rel. 17, (2 1 1); 46.30 deg, rel. 27, (2 2 0); 53.64 deg, rel. 10, (2 1 3); 58.77 deg, rel. 37, (3 1 2); 61.71 deg, rel. 9, (3 2 1); 62.28 deg, rel. 21, (2 0 4); 67.56 deg, rel. 7, (4 0 0)